# 1
For Pr2SmTm, a DFT-relaxed cell (PBE, Alexandria) gives the computed PXRD pattern in this record (copper Kα).
No peak broadening, texture or thermal motion is included.

Structural model:
```
12
Lattice="3.649 0.000 0.000 -1.825 3.161 0.000 0.000 0.000 35.429" Properties=species:S:1:pos:R:3 pbc="T T T"
Pr 0.000 0.000 0.000
Pr 0.000 0.000 5.999
Pr 0.000 2.107 23.619
Pr 0.000 2.107 29.618
Pr 1.825 1.054 11.810
Pr 1.825 1.054 17.808
Sm 0.000 0.000 14.792
Sm 0.000 2.107 2.983
Sm 1.825 1.054 26.602
Tm 0.000 0.000 20.729
Tm 0.000 2.107 8.920
Tm 1.825 1.054 32.539
```

Principal peaks in the range 10 to 90 degrees two-theta, in order of rising 2θ:
2θ/deg	d [Å]	intensity
28.7	3.111	32
30.3	2.952	48
31.0	2.886	100
33.4	2.681	76
38.2	2.359	19
50.0	1.825	36
52.6	1.740	24
57.4	1.606	15
59.6	1.552	43
60.0	1.542	15
61.5	1.508	13
84.4	1.148	16

# 2
For PrSm12Tm5, a DFT-relaxed cell (PBE, Alexandria) gives the computed PXRD pattern in this record (copper Kα).
No peak broadening, texture or thermal motion is included.

Structural model:
```
18
Lattice="7.609 -7.631 0.000 7.609 7.631 0.000 0.000 0.000 5.086" Properties=species:S:1:pos:R:3 pbc="T T T"
Pr 0.000 0.000 0.000
Sm 5.080 5.071 0.000
Sm 2.547 0.000 2.543
Sm 5.104 2.536 2.543
Sm 10.139 5.071 0.000
Sm 5.110 0.000 0.000
Sm 10.115 2.536 2.543
Sm 5.104 -2.536 2.543
Sm 10.109 0.000 0.000
Sm 5.080 -5.071 0.000
Sm 10.115 -2.536 2.543
Sm 12.672 0.000 2.543
Sm 10.139 -5.071 0.000
Tm 7.609 5.062 2.543
Tm 7.609 2.544 0.000
Tm 7.609 0.000 2.543
Tm 7.609 -2.544 0.000
Tm 7.609 -5.062 2.543
```

Principal peaks in the range 10 to 90 degrees two-theta, in order of rising 2θ:
2θ/deg	d [Å]	intensity
30.5	2.934	100
35.3	2.543	34
35.4	2.536	17
50.8	1.797	36
60.4	1.533	29
60.5	1.530	14
63.4	1.467	12
74.6	1.272	4
82.7	1.167	6
82.8	1.165	12
85.4	1.137	11
85.6	1.135	5

# 3
For PrSm7Tm3, a DFT-relaxed cell (PBE, Alexandria) gives the computed PXRD pattern in this record (copper Kα).
No peak broadening, texture or thermal motion is included.

Structural model:
```
11
Lattice="6.540 0.000 0.000 -0.660 6.689 0.000 -1.379 -1.584 8.452" Properties=species:S:1:pos:R:3 pbc="T T T"
Pr 0.000 0.000 0.000
Sm -0.330 3.344 0.000
Sm -0.690 0.387 5.408
Sm 0.017 3.695 6.014
Sm 1.759 0.168 7.691
Sm 2.742 4.937 0.761
Sm 4.484 1.410 2.438
Sm 5.191 4.718 3.044
Tm 1.260 2.348 2.880
Tm 2.581 -0.792 4.226
Tm 3.241 2.757 5.572
```

Principal peaks in the range 10 to 90 degrees two-theta, in order of rising 2θ:
2θ/deg	d [Å]	intensity
27.1	3.290	17
27.9	3.203	18
31.2	2.863	29
31.4	2.849	58
31.6	2.832	21
31.7	2.822	100
31.9	2.804	78
32.2	2.783	86
32.4	2.767	22
33.0	2.712	45
34.4	2.605	17
57.5	1.602	22